[1]
Diffraction record for LaMgFeNiO6. The powder XRD pattern is computed, not measured: it uses a cell relaxed with GGA+U and Cu Kα (weighted mean of Kα1 and Kα2).
Kinematic intensities with the Lorentz-polarization factor, no thermal factor.

```
LaMgFeNiO6
1.0
5.311 0.000 0.000
-0.003 5.470 0.000
-0.068 -0.049 7.612
La Mg Fe Ni O
2 2 2 2 12
Direct
0.000 0.000 0.000
0.495 0.427 0.503
0.463 0.522 0.998
0.959 0.902 0.501
0.490 0.959 0.254
0.990 0.466 0.754
0.489 0.968 0.749
0.984 0.460 0.249
0.062 0.512 0.509
0.219 0.725 0.810
0.231 0.735 0.199
0.289 0.271 0.809
0.314 0.253 0.193
0.354 0.986 0.489
0.571 0.909 0.015
0.709 0.705 0.318
0.727 0.694 0.705
0.784 0.151 0.311
0.807 0.169 0.693
0.860 0.441 0.994
```

Main lines, low angle first (2θ from 10° to 80°):
19.9°, I = 29
20.1°, I = 29
20.3°, I = 29
20.5°, I = 30
32.7°, I = 45
33.1°, I = 49
33.3°, I = 100
33.5°, I = 49
33.8°, I = 41
39.5°, I = 26
47.8°, I = 83
59.9°, I = 22

***

[2]
Diffraction record for LaMgFeNiO6. The powder XRD pattern is computed, not measured: it uses a cell relaxed with GGA+U and Cu Kα (weighted mean of Kα1 and Kα2).
Kinematic intensities with the Lorentz-polarization factor, no thermal factor.

```
LaMgFeNiO6
1.0
5.316 0.000 0.000
0.000 5.463 0.000
-5.274 0.000 7.605
La Mg Fe Ni O
2 2 2 2 12
Direct
0.000 0.215 0.000
0.000 0.785 0.500
0.465 0.308 0.501
0.465 0.692 0.001
0.239 0.253 0.747
0.239 0.747 0.247
0.743 0.247 0.252
0.743 0.753 0.752
0.030 0.482 0.800
0.030 0.518 0.300
0.116 0.043 0.308
0.116 0.957 0.808
0.411 0.489 0.191
0.411 0.511 0.691
0.484 0.057 0.692
0.484 0.943 0.192
0.559 0.299 0.993
0.559 0.701 0.493
0.869 0.229 0.507
0.869 0.771 0.007
```

Main lines, low angle first (2θ from 10° to 80°):
20.0°, I = 59
20.3°, I = 30
20.4°, I = 30
32.8°, I = 46
33.2°, I = 100
33.4°, I = 99
33.7°, I = 42
38.9°, I = 25
39.5°, I = 26
47.8°, I = 85
58.9°, I = 31
59.9°, I = 33

***

[3]
Diffraction record for La2MgFeO6. The powder XRD pattern is computed, not measured: it uses a cell relaxed with GGA+U and Cu Kα (weighted mean of Kα1 and Kα2).
Kinematic intensities with the Lorentz-polarization factor, no thermal factor.

```
La2MgFeO6
1.0
5.521 0.000 0.000
2.636 4.862 0.000
2.647 1.578 4.594
La Mg Fe O
2 1 1 6
Direct
0.249 0.249 0.249
0.751 0.751 0.751
0.500 0.500 0.500
0.000 0.000 0.000
0.171 0.761 0.317
0.239 0.682 0.829
0.317 0.170 0.762
0.683 0.830 0.238
0.761 0.318 0.171
0.829 0.239 0.683
```

Main lines, low angle first (2θ from 10° to 80°):
22.5°, I = 57
31.7°, I = 98
32.4°, I = 100
39.2°, I = 36
40.4°, I = 13
45.9°, I = 41
46.0°, I = 20
56.4°, I = 17
56.9°, I = 28
57.0°, I = 14
58.3°, I = 19
67.8°, I = 12